Entry 1:
Starting from a crystal structure in Alexandria, relaxed with GGA-PBE, the XRD peak list of Hf4Zr3Sn4 was simulated for λ = 1.5418 Å (Cu Kα).
Lines closer than 0.1° are merged.

Peak list (10 most intense, 2θ from 10° to 80°, low angle first)
two_theta	intensity	hkl
12.69	17	0 0 2
35.31	100	2 1 3
38.72	19	0 0 6
40.02	18	4 0 0
44.10	18	0 2 0
56.91	12	4 0 6
67.89	14	2 1 9
69.66	13	6 1 3
74.69	11	4 2 6
75.39	11	2 3 3

```
data_Hf4Zr3Sn4
_chemical_formula_sum 'Hf8 Zr6 Sn8'
_symmetry_space_group_name_H-M 'A m m 2'
_symmetry_Int_Tables_number 38
_symmetry_space_group_name_Hall 'A 2 -2'
_cell_length_a 9.012
_cell_length_b 4.107
_cell_length_c 13.953
_cell_angle_alpha 90.00
_cell_angle_beta 90.00
_cell_angle_gamma 90.00
loop_
_atom_site_label
_atom_site_type_symbol
_atom_site_fract_x
_atom_site_fract_y
_atom_site_fract_z
_atom_site_occupancy
Hf1 Hf 0.000 0.000 0.000 1
Hf2 Hf 0.247 0.000 0.507 1
Hf3 Hf 0.500 0.000 0.007 1
Zr1 Zr 0.242 0.000 0.828 1
Zr2 Zr 0.500 0.000 0.676 1
Sn1 Sn 0.000 0.000 0.347 1
Sn2 Sn 0.238 0.000 0.161 1
Sn3 Sn 0.500 0.000 0.348 1
```

Entry 2:
Starting from a crystal structure in Alexandria, relaxed with GGA-PBE, the XRD peak list of Mg2Al9Rh3 was simulated for λ = 1.5418 Å (Cu Kα).
Lines closer than 0.1° are merged.

Peak list (10 most intense, 2θ from 10° to 80°, low angle first)
two_theta	intensity	hkl
18.75	79	0 0 2
23.86	100	3 1 -1
30.31	35	3 1 1
30.54	35	0 2 2
30.72	33	3 1 -3
38.03	28	0 0 4
41.97	95	6 0 -2
45.10	23	3 1 3
46.21	24	3 3 1
46.53	35	6 0 -4

```
data_Mg2Al9Rh3
_chemical_formula_sum 'Mg8 Al36 Rh12'
_symmetry_space_group_name_H-M 'C 1 2/c 1'
_symmetry_Int_Tables_number 15
_symmetry_space_group_name_Hall '-C 2yc'
_cell_length_a 12.929
_cell_length_b 7.451
_cell_length_c 10.338
_cell_angle_alpha 90.00
_cell_angle_beta 113.73
_cell_angle_gamma 90.00
loop_
_atom_site_label
_atom_site_type_symbol
_atom_site_fract_x
_atom_site_fract_y
_atom_site_fract_z
_atom_site_occupancy
Mg1 Mg 0.167 0.083 0.250 1
Al1 Al 0.000 0.365 0.250 1
Al2 Al 0.059 0.085 0.925 1
Al3 Al 0.103 0.416 0.062 1
Al4 Al 0.108 0.311 0.748 1
Al5 Al 0.225 0.417 0.426 1
Rh1 Rh 0.087 0.239 0.499 1
Rh2 Rh 0.250 0.250 0.000 1
```

Entry 3:
Starting from a crystal structure in Alexandria, relaxed with GGA-PBE, the XRD peak list of YMg10Zn3 was simulated for λ = 1.5418 Å (Cu Kα).
Lines closer than 0.1° are merged.

Peak list (10 most intense, 2θ from 10° to 80°, low angle first)
two_theta	intensity	hkl
22.39	100	2 2 2
25.91	37	4 0 0
29.04	14	4 2 0
33.87	35	3 3 3
36.98	82	4 4 0
38.74	24	5 3 1
43.66	85	6 2 2
53.29	13	8 0 0
58.51	25	6 6 2
66.63	31	8 4 4

```
data_YMg10Zn3
_chemical_formula_sum 'Y8 Mg80 Zn24'
_symmetry_space_group_name_H-M 'F m -3 m'
_symmetry_Int_Tables_number 225
_symmetry_space_group_name_Hall '-F 4 2 3'
_cell_length_a 13.753
_cell_length_b 13.753
_cell_length_c 13.753
_cell_angle_alpha 90.00
_cell_angle_beta 90.00
_cell_angle_gamma 90.00
loop_
_atom_site_label
_atom_site_type_symbol
_atom_site_fract_x
_atom_site_fract_y
_atom_site_fract_z
_atom_site_occupancy
Y1 Y 0.250 0.250 0.250 1
Mg1 Mg 0.000 0.172 0.172 1
Mg2 Mg 0.115 0.115 0.385 1
Zn1 Zn 0.000 0.000 0.268 1
```

Entry 4:
Starting from a crystal structure in Alexandria, relaxed with GGA-PBE, the XRD peak list of La5Si2Hg2 was simulated for λ = 1.5418 Å (Cu Kα).
Lines closer than 0.1° are merged.

Peak list (10 most intense, 2θ from 10° to 80°, low angle first)
two_theta	intensity	hkl
10.56	10	2 0 0
25.55	10	1 1 2
29.74	13	3 1 2
31.01	100	4 2 0
31.78	32	0 2 2
33.03	15	4 2 1
36.06	23	1 3 1
51.31	11	0 2 4
56.15	19	5 3 3
62.00	15	9 3 1

```
data_La5Si2Hg2
_chemical_formula_sum 'La20 Si8 Hg8'
_symmetry_space_group_name_H-M 'C m c e'
_symmetry_Int_Tables_number 64
_symmetry_space_group_name_Hall '-C 2ac 2'
_cell_length_a 16.752
_cell_length_b 7.956
_cell_length_c 7.973
_cell_angle_alpha 90.00
_cell_angle_beta 90.00
_cell_angle_gamma 90.00
loop_
_atom_site_label
_atom_site_type_symbol
_atom_site_fract_x
_atom_site_fract_y
_atom_site_fract_z
_atom_site_occupancy
La1 La 0.000 0.000 0.000 1
La2 La 0.127 0.186 0.321 1
Si1 Si 0.000 0.110 0.612 1
Hg1 Hg 0.219 0.000 0.000 1
```

What did the first record say?
Starting from a crystal structure in Alexandria, relaxed with GGA-PBE, the XRD peak list of Hf4Zr3Sn4 was simulated for λ = 1.5418 Å (Cu Kα).
Lines closer than 0.1° are merged.

Peak list (10 most intense, 2θ from 10° to 80°, low angle first)
two_theta	intensity	hkl
12.69	17	0 0 2
35.31	100	2 1 3
38.72	19	0 0 6
40.02	18	4 0 0
44.10	18	0 2 0
56.91	12	4 0 6
67.89	14	2 1 9
69.66	13	6 1 3
74.69	11	4 2 6
75.39	11	2 3 3

```
data_Hf4Zr3Sn4
_chemical_formula_sum 'Hf8 Zr6 Sn8'
_symmetry_space_group_name_H-M 'A m m 2'
_symmetry_Int_Tables_number 38
_symmetry_space_group_name_Hall 'A 2 -2'
_cell_length_a 9.012
_cell_length_b 4.107
_cell_length_c 13.953
_cell_angle_alpha 90.00
_cell_angle_beta 90.00
_cell_angle_gamma 90.00
loop_
_atom_site_label
_atom_site_type_symbol
_atom_site_fract_x
_atom_site_fract_y
_atom_site_fract_z
_atom_site_occupancy
Hf1 Hf 0.000 0.000 0.000 1
Hf2 Hf 0.247 0.000 0.507 1
Hf3 Hf 0.500 0.000 0.007 1
Zr1 Zr 0.242 0.000 0.828 1
Zr2 Zr 0.500 0.000 0.676 1
Sn1 Sn 0.000 0.000 0.347 1
Sn2 Sn 0.238 0.000 0.161 1
Sn3 Sn 0.500 0.000 0.348 1
```